The following is a simulated X-ray powder pattern of Ho4MnS7. It was derived from the GGA-PBE geometry in the Materials Project, using CuKα.

Most intense lines, 10° ≤ 2θ ≤ 80°, in order of rising 2θ:
2θ/deg  I_rel  hkl
24.45  100.0  2 0 2
24.84  95.4  2 0 -3
32.40  60.1  3 1 0
33.61  55.2  3 1 -2
34.83  58.8  3 1 1
47.94  81.9  0 2 0

Atomic structure:
```
data_Ho4MnS7
_symmetry_space_group_name_H-M 'C 1 m 1'
_symmetry_Int_Tables_number 8
_symmetry_space_group_name_Hall 'C -2y'
_cell_length_a 12.5140
_cell_length_b 3.7943
_cell_length_c 11.4432
_cell_angle_alpha 90.00
_cell_angle_beta 104.92
_cell_angle_gamma 90.00
loop_
_atom_site_label
_atom_site_fract_x
_atom_site_fract_y
_atom_site_fract_z
Ho1 0.0000 0.0000 0.0000
Ho2 0.0790 0.5000 0.3627
Ho3 0.1936 0.5000 0.8018
Ho4 0.3863 0.0000 0.5976
Mn1 0.3081 0.5000 0.2181
S1 0.0332 0.0000 0.7447
S2 0.1584 0.5000 0.0213
S3 0.1990 0.0000 0.2930
S4 0.2301 0.5000 0.5806
S5 0.3545 0.0000 0.8472
S6 0.4248 0.0000 0.1485
S7 0.4492 0.5000 0.4362
```

***

The following is a simulated X-ray powder pattern of Tm2Al2Fe15. It was derived from the GGA-PBE geometry in the Materials Project, using CuKα.

Most intense lines, 10° ≤ 2θ ≤ 80°, in order of rising 2θ:
2θ/deg  I_rel  hkl
30.28  30.0  1 1 2
37.44  22.8  3 0 0
40.90  12.9  2 0 3
43.21  23.9  0 0 4
43.45  100.0  3 0 2
62.99  14.0  2 2 4

Atomic structure:
```
data_Tm2Al2Fe15
_symmetry_space_group_name_H-M 'P 63/m m c'
_symmetry_Int_Tables_number 194
_symmetry_space_group_name_Hall '-P 6c 2c'
_cell_length_a 8.3219
_cell_length_b 8.3219
_cell_length_c 8.3740
_cell_angle_alpha 90.00
_cell_angle_beta 90.00
_cell_angle_gamma 120.00
loop_
_atom_site_label
_atom_site_fract_x
_atom_site_fract_y
_atom_site_fract_z
Tm1 0.0000 0.0000 0.2500
Tm2 0.3333 0.6667 0.2500
Al1 0.3333 0.6667 0.6002
Fe1 0.0000 0.5000 0.0000
Fe2 0.0313 0.3618 0.7500
Fe3 0.1654 0.3308 0.0121
```

***

The following is a simulated X-ray powder pattern of Bi. It was derived from the GGA-PBE geometry in the Materials Project, using CuKα.

Most intense lines, 10° ≤ 2θ ≤ 80°, in order of rising 2θ:
2θ/deg  I_rel  hkl
27.08  100.0  1 1 0
27.63  54.7  0 0 2
38.66  34.9  0 2 0
38.94  37.2  1 1 -2
39.20  37.9  1 1 2
48.17  24.9  0 2 2

Atomic structure:
```
data_Bi
_symmetry_space_group_name_H-M 'P 1 21/m 1'
_symmetry_Int_Tables_number 11
_symmetry_space_group_name_Hall '-P 2yb'
_cell_length_a 4.6562
_cell_length_b 4.6586
_cell_length_c 6.4567
_cell_angle_alpha 90.00
_cell_angle_beta 90.53
_cell_angle_gamma 90.00
loop_
_atom_site_label
_atom_site_fract_x
_atom_site_fract_y
_atom_site_fract_z
Bi1 0.1737 0.2500 0.2638
Bi2 0.3025 0.2500 0.7658
```

***

The following is a simulated X-ray powder pattern of Mg16Al12Br. It was derived from the GGA-PBE geometry in the Materials Project, using CuKα.

Most intense lines, 10° ≤ 2θ ≤ 80°, in order of rising 2θ:
2θ/deg  I_rel  hkl
11.82  17.6  1 1 0
35.97  100.0  4 1 1
39.92  29.9  3 3 2
43.57  15.3  4 3 1
61.94  15.5  5 5 0
64.66  22.5  7 2 1

Atomic structure:
```
data_Mg16Al12Br
_symmetry_space_group_name_H-M 'I -4 3 m'
_symmetry_Int_Tables_number 217
_symmetry_space_group_name_Hall 'I -4 2 3'
_cell_length_a 10.5928
_cell_length_b 10.5928
_cell_length_c 10.5928
_cell_angle_alpha 90.00
_cell_angle_beta 90.00
_cell_angle_gamma 90.00
loop_
_atom_site_label
_atom_site_fract_x
_atom_site_fract_y
_atom_site_fract_z
Mg1 0.0492 0.3598 0.3598
Mg2 0.1584 0.1584 0.8416
Al1 0.0949 0.0949 0.2833
Br1 0.0000 0.0000 0.0000
```

***

The following is a simulated X-ray powder pattern of Al2ZnO4. It was derived from the GGA-PBE geometry in the Materials Project, using CuKα.

Most intense lines, 10° ≤ 2θ ≤ 80°, in order of rising 2θ:
2θ/deg  I_rel  hkl
18.65  74.5  0 1 1
36.22  76.4  0 1 3
36.71  100.0  2 1 1
44.03  30.3  0 0 4
44.40  61.0  2 2 0
64.31  65.8  2 2 4

Atomic structure:
```
data_Al2ZnO4
_symmetry_space_group_name_H-M 'I m m a'
_symmetry_Int_Tables_number 74
_symmetry_space_group_name_Hall '-I 2b 2'
_cell_length_a 5.7103
_cell_length_b 5.8335
_cell_length_c 8.2272
_cell_angle_alpha 90.00
_cell_angle_beta 90.00
_cell_angle_gamma 90.00
loop_
_atom_site_label
_atom_site_fract_x
_atom_site_fract_y
_atom_site_fract_z
Al1 0.0000 0.0000 0.0000
Al2 0.0000 0.2500 0.3647
Zn1 0.2500 0.2500 0.7500
O1 0.0000 0.0045 0.2320
O2 0.2349 0.2500 0.0073
```

***

What did the third record say?
The following is a simulated X-ray powder pattern of Bi. It was derived from the GGA-PBE geometry in the Materials Project, using CuKα.

Most intense lines, 10° ≤ 2θ ≤ 80°, in order of rising 2θ:
2θ/deg  I_rel  hkl
27.08  100.0  1 1 0
27.63  54.7  0 0 2
38.66  34.9  0 2 0
38.94  37.2  1 1 -2
39.20  37.9  1 1 2
48.17  24.9  0 2 2

Atomic structure:
```
data_Bi
_symmetry_space_group_name_H-M 'P 1 21/m 1'
_symmetry_Int_Tables_number 11
_symmetry_space_group_name_Hall '-P 2yb'
_cell_length_a 4.6562
_cell_length_b 4.6586
_cell_length_c 6.4567
_cell_angle_alpha 90.00
_cell_angle_beta 90.53
_cell_angle_gamma 90.00
loop_
_atom_site_label
_atom_site_fract_x
_atom_site_fract_y
_atom_site_fract_z
Bi1 0.1737 0.2500 0.2638
Bi2 0.3025 0.2500 0.7658
```